Mg6CdC: simulated powder X-ray diffraction pattern (copper Kα), based on the PBE geometry in the Materials Project.
Neutral-atom scattering factors, no anomalous dispersion.

Peak list (12 most intense, 2θ from 10° to 90°, by intensity)
2θ (°)	Rel. int.	index
37.12	1000	1 2 2
13.39	751	0 1 1
28.48	567	1 1 1
38.13	444	1 1 3
32.06	352	0 3 1
35.38	311	0 0 4
20.39	209	0 2 0
61.86	171	2 3 1
26.98	169	0 2 2
64.66	163	1 2 6
40.96	153	0 3 3
17.48	131	0 0 2

Cell and atoms:
```
data_Mg6CdC
_chemical_formula_sum 'Mg12 Cd2 C2'
_cell_length_a 3.559
_cell_length_b 8.712
_cell_length_c 10.148
_cell_angle_alpha 90.00
_cell_angle_beta 90.00
_cell_angle_gamma 90.00
_symmetry_space_group_name_H-M 'A m m 2'
_symmetry_Int_Tables_number 38
_symmetry_space_group_name_Hall 'A 2 -2'
loop_
_atom_site_label
_atom_site_type_symbol
_atom_site_fract_x
_atom_site_fract_y
_atom_site_fract_z
Mg1 Mg 0.000 0.000 0.000
Mg2 Mg 0.000 0.000 0.461
Mg3 Mg 0.000 0.165 0.741
Mg4 Mg 0.500 0.243 0.978
Cd1 Cd 0.500 0.000 0.234
C1 C 0.500 0.000 0.859
```